The following is a simulated powder diffraction line list of Sc5As3. It was derived from a cell relaxed with GGA-PBE, using copper Kα.
Lines closer than 0.1° are merged.

Structure:
```
32
Lattice="10.7449 0.0000 0.0000 0.0000 8.1885 0.0000 0.0000 0.0000 7.2543" Properties=species:S:1:pos:R:3 pbc="T T T"
Sc 0.0386 2.0471 0.2164
Sc 0.7573 0.4326 5.0113
Sc 0.7573 3.6617 5.0113
Sc 2.2268 6.1414 2.5320
Sc 2.3933 2.0471 2.4192
Sc 2.9792 6.1414 6.0463
Sc 3.1457 2.0471 6.1591
Sc 4.6152 4.5268 1.3841
Sc 4.6152 7.7560 1.3841
Sc 5.3338 6.1414 3.8435
Sc 5.4111 2.0471 3.4108
Sc 6.1298 0.4326 5.8701
Sc 6.1298 3.6617 5.8701
Sc 7.5992 6.1414 1.0952
Sc 7.7657 2.0471 1.2079
Sc 8.3516 6.1414 4.8351
Sc 8.5181 2.0471 4.7223
Sc 9.9876 4.5268 2.2430
Sc 9.9876 7.7560 2.2430
Sc 10.7063 6.1414 7.0379
As 0.2030 6.1414 4.2366
As 1.8517 4.1730 0.4660
As 1.8517 8.1098 0.4660
As 3.5208 0.0788 4.0931
As 3.5208 4.0155 4.0931
As 5.1694 2.0471 0.6094
As 5.5755 6.1414 6.6448
As 7.2241 4.1730 3.1612
As 7.2241 8.1098 3.1612
As 8.8932 0.0788 6.7883
As 8.8932 4.0155 6.7883
As 10.5419 2.0471 3.0177
```

The 10 most intense peaks (2θ = 10–80°), in order of falling intensity:
d 2.632, rel. 100.0, hkl 1 2 2
d 2.423, rel. 91.3, hkl 2 2 2
d 2.527, rel. 61.6, hkl 3 2 1
d 2.519, rel. 55.0, hkl 4 0 1
d 2.246, rel. 50.3, hkl 4 2 0
d 2.047, rel. 48.7, hkl 0 4 0
d 2.552, rel. 45.2, hkl 3 0 2
d 3.212, rel. 45.2, hkl 3 0 1
d 3.384, rel. 31.1, hkl 1 2 1
d 1.941, rel. 27.0, hkl 2 2 3